(1)
This entry pairs a crystal structure of DyGa4Os with its simulated XRD peak list. Radiation: CuKα. Structure: the GGA-PBE geometry in Alexandria.
Neutral-atom scattering factors, no anomalous dispersion.

Atomic structure:
a = 7.768 Å, b = 4.082 Å, c = 6.950 Å
α = 90.00°, β = 90.00°, γ = 90.00°
Space group Pmma (No. 51)
Asymmetric unit:
Dy1 0.250 0.000 0.128
Ga1 0.000 0.000 0.500
Ga2 0.064 0.500 0.825
Ga3 0.250 0.500 0.450
Os1 0.250 0.000 0.703

Most intense lines, 2θ from 10° to 90°, most intense first:
2θ = 35.9°, I = 100; 2θ = 41.3°, I = 67; 2θ = 34.4°, I = 54; 2θ = 31.8°, I = 49; 2θ = 44.4°, I = 45; 2θ = 22.9°, I = 37; 2θ = 21.8°, I = 28; 2θ = 43.6°, I = 26; 2θ = 40.6°, I = 24; 2θ = 28.1°, I = 23

=====

(2)
This entry pairs a crystal structure of Dy2Ga6Os with its simulated XRD peak list. Radiation: CuKα. Structure: the GGA-PBE geometry in Alexandria.
Neutral-atom scattering factors, no anomalous dispersion.

Atomic structure:
a = 9.906 Å, b = 5.778 Å, c = 5.841 Å
α = 90.00°, β = 91.05°, γ = 90.00°
Space group C2/m (No. 12)
Asymmetric unit:
Dy1 0.168 0.000 0.141
Ga1 0.085 0.238 0.680
Ga2 0.177 0.500 0.326
Os1 0.000 0.500 0.000

Most intense lines, 2θ from 10° to 90°, most intense first:
2θ = 34.6°, I = 100; 2θ = 39.1°, I = 93; 2θ = 35.8°, I = 76; 2θ = 35.1°, I = 48; 2θ = 39.8°, I = 47; 2θ = 35.4°, I = 44; 2θ = 31.2°, I = 42; 2θ = 15.2°, I = 34; 2θ = 65.1°, I = 34; 2θ = 57.8°, I = 24

=====

(3)
This entry pairs a crystal structure of Dy7Ga2Os2 with its simulated XRD peak list. Radiation: CuKα. Structure: the GGA-PBE geometry in Alexandria.
Neutral-atom scattering factors, no anomalous dispersion.

Atomic structure:
a = 7.847 Å, b = 10.795 Å, c = 6.995 Å
α = 90.00°, β = 90.00°, γ = 90.00°
Space group Cmmm (No. 65)
Asymmetric unit:
Dy1 0.000 0.000 0.000
Dy2 0.000 0.500 0.253
Dy3 0.250 0.250 0.260
Ga1 0.166 0.000 0.500
Os1 0.000 0.297 0.000

Most intense lines, 2θ from 10° to 90°, most intense first:
2θ = 38.3°, I = 100; 2θ = 37.7°, I = 57; 2θ = 33.2°, I = 53; 2θ = 28.1°, I = 45; 2θ = 26.0°, I = 40; 2θ = 29.2°, I = 30; 2θ = 12.7°, I = 29; 2θ = 34.3°, I = 29; 2θ = 46.3°, I = 21; 2θ = 30.2°, I = 20